Record 1
Starting from a cell relaxed with GGA-PBE, the powder diffractogram of Rb3AgSn3Se8 was simulated for Cu Kα (λ = 1.5418 Å).
No peak broadening, texture or thermal motion is included.

Structural model:
Unit cell a=8.5532 b=8.5532 c=13.7126 alpha=90.00 beta=90.00 gamma=90.00
Fractional positions:
Rb 0.2500 0.2500 0.0000
Rb 0.2500 0.2500 0.2777
Rb 0.2500 0.2500 0.7223
Rb 0.7500 0.7500 0.0000
Rb 0.7500 0.7500 0.2777
Rb 0.7500 0.7500 0.7223
Ag 0.2500 0.7500 0.0000
Ag 0.7500 0.2500 0.0000
Sn 0.2500 0.7500 0.2414
Sn 0.2500 0.7500 0.5000
Sn 0.2500 0.7500 0.7586
Sn 0.7500 0.2500 0.2414
Sn 0.7500 0.2500 0.5000
Sn 0.7500 0.2500 0.7586
Se 0.0775 0.5775 0.1388
Se 0.0775 0.9225 0.8612
Se 0.0903 0.5903 0.6245
Se 0.0903 0.9097 0.3755
Se 0.4097 0.5903 0.3755
Se 0.4097 0.9097 0.6245
Se 0.4225 0.5775 0.8612
Se 0.4225 0.9225 0.1388
Se 0.5775 0.0775 0.8612
Se 0.5775 0.4225 0.1388
Se 0.5903 0.0903 0.3755
Se 0.5903 0.4097 0.6245
Se 0.9097 0.0903 0.6245
Se 0.9097 0.4097 0.3755
Se 0.9225 0.0775 0.1388
Se 0.9225 0.4225 0.8612

Main lines, most intense first (5 to 70 degrees two-theta):
2theta, d (Å), I_rel
33.50, 2.675, 100
26.69, 3.340, 83
29.54, 3.024, 56
14.65, 6.048, 53
42.58, 2.123, 33
50.29, 1.814, 32
47.54, 1.913, 30
20.77, 4.277, 29
39.75, 2.268, 18
45.69, 1.986, 18
46.28, 1.962, 17
44.96, 2.016, 16

Record 2
Starting from a cell relaxed with GGA-PBE, the powder diffractogram of RbZrAgTeSe2 was simulated for Cu Kα (λ = 1.5418 Å).
No peak broadening, texture or thermal motion is included.

Structural model:
Unit cell a=8.8028 b=4.0969 c=10.3780 alpha=90.00 beta=111.88 gamma=90.00
Fractional positions:
Rb 0.2283 0.2500 0.2043
Rb 0.7717 0.7500 0.7957
Zr 0.1828 0.7500 0.6614
Zr 0.8172 0.2500 0.3386
Ag 0.4223 0.2500 0.8936
Ag 0.5777 0.7500 0.1064
Te 0.4041 0.2500 0.6229
Te 0.5959 0.7500 0.3771
Se 0.0352 0.7500 0.3697
Se 0.2401 0.7500 0.9319
Se 0.7599 0.2500 0.0681
Se 0.9648 0.2500 0.6303

Main lines, most intense first (5 to 70 degrees two-theta):
2theta, d (Å), I_rel
11.29, 7.834, 100
29.81, 2.997, 97
30.92, 2.892, 62
44.21, 2.048, 42
33.92, 2.643, 42
42.02, 2.150, 41
35.53, 2.527, 32
34.66, 2.588, 30
33.59, 2.668, 24
26.70, 3.339, 24
51.89, 1.762, 24
37.83, 2.378, 24

Record 3
Starting from a cell relaxed with GGA-PBE, the powder diffractogram of RbAg3WSe4 was simulated for Cu Kα (λ = 1.5418 Å).
No peak broadening, texture or thermal motion is included.

Structural model:
Unit cell a=6.5364 b=6.5364 c=6.5364 alpha=90.00 beta=90.00 gamma=90.00
Fractional positions:
Rb 0.0000 0.0000 0.0000
Ag 0.0000 0.5000 0.5000
Ag 0.5000 0.0000 0.5000
Ag 0.5000 0.5000 0.0000
W 0.5000 0.5000 0.5000
Se 0.2839 0.2839 0.2839
Se 0.2839 0.7161 0.7161
Se 0.7161 0.2839 0.7161
Se 0.7161 0.7161 0.2839

Main lines, most intense first (5 to 70 degrees two-theta):
2theta, d (Å), I_rel
38.97, 2.311, 100
13.55, 6.536, 66
23.57, 3.774, 50
19.20, 4.622, 23
46.05, 1.971, 20
50.33, 1.813, 18
27.29, 3.268, 17
41.44, 2.179, 16
56.30, 1.634, 15
33.58, 2.668, 14
52.37, 1.747, 11
30.58, 2.923, 11

Record 4
Starting from a cell relaxed with GGA-PBE, the powder diffractogram of RbTbAg3Te4 was simulated for Cu Kα (λ = 1.5418 Å).
No peak broadening, texture or thermal motion is included.

Structural model:
Unit cell a=6.6915 b=8.0708 c=11.2290 alpha=90.00 beta=105.28 gamma=90.00
Fractional positions:
Rb 0.2316 0.2500 0.4115
Rb 0.7684 0.7500 0.5885
Tb 0.1079 0.2500 0.8058
Tb 0.8921 0.7500 0.1942
Ag 0.2999 0.5559 0.0226
Ag 0.2999 0.9441 0.0226
Ag 0.4161 0.7500 0.2604
Ag 0.5839 0.2500 0.7396
Ag 0.7001 0.0559 0.9774
Ag 0.7001 0.4441 0.9774
Te 0.0607 0.2500 0.0655
Te 0.2024 0.7500 0.4336
Te 0.3702 0.5333 0.7729
Te 0.3702 0.9667 0.7729
Te 0.6298 0.0333 0.2271
Te 0.6298 0.4667 0.2271
Te 0.7976 0.2500 0.5664
Te 0.9393 0.7500 0.9345

Main lines, most intense first (5 to 70 degrees two-theta):
2theta, d (Å), I_rel
8.16, 10.832, 100
38.29, 2.350, 60
39.15, 2.301, 52
26.19, 3.402, 45
26.04, 3.422, 43
13.68, 6.471, 40
34.21, 2.621, 34
29.81, 2.997, 29
31.41, 2.848, 29
24.07, 3.697, 27
24.88, 3.578, 25
28.89, 3.091, 24

Record 5
Starting from a cell relaxed with GGA-PBE, the powder diffractogram of RbAg3Te4W was simulated for Cu Kα (λ = 1.5418 Å).
No peak broadening, texture or thermal motion is included.

Structural model:
Unit cell a=6.8945 b=6.8945 c=6.8945 alpha=90.00 beta=90.00 gamma=90.00
Fractional positions:
Rb 0.0000 0.0000 0.0000
Ag 0.0000 0.5000 0.5000
Ag 0.5000 0.0000 0.5000
Ag 0.5000 0.5000 0.0000
Te 0.2800 0.2800 0.2800
Te 0.2800 0.7200 0.7200
Te 0.7200 0.2800 0.7200
Te 0.7200 0.7200 0.2800
W 0.5000 0.5000 0.5000

Main lines, most intense first (5 to 70 degrees two-theta):
2theta, d (Å), I_rel
36.87, 2.438, 100
22.33, 3.981, 64
12.84, 6.895, 53
66.43, 1.407, 27
43.54, 2.079, 26
47.55, 1.912, 19
18.20, 4.875, 16
53.14, 1.724, 15
31.79, 2.815, 14
39.20, 2.298, 14
49.46, 1.843, 10
56.64, 1.625, 10

Record 6
Starting from a cell relaxed with GGA-PBE, the powder diffractogram of RbZrAg3Te4 was simulated for Cu Kα (λ = 1.5418 Å).
No peak broadening, texture or thermal motion is included.

Structural model:
Unit cell a=6.9351 b=6.9351 c=6.9351 alpha=90.00 beta=90.00 gamma=90.00
Fractional positions:
Rb 0.0000 0.0000 0.0000
Zr 0.5000 0.5000 0.5000
Ag 0.0000 0.5000 0.5000
Ag 0.5000 0.0000 0.5000
Ag 0.5000 0.5000 0.0000
Te 0.2730 0.2730 0.2730
Te 0.2730 0.7270 0.7270
Te 0.7270 0.2730 0.7270
Te 0.7270 0.7270 0.2730

Main lines, most intense first (5 to 70 degrees two-theta):
2theta, d (Å), I_rel
36.65, 2.452, 100
22.20, 4.004, 88
43.27, 2.091, 40
65.99, 1.416, 29
12.76, 6.935, 25
52.80, 1.734, 16
57.97, 1.591, 14
47.26, 1.923, 10
31.60, 2.831, 7
38.96, 2.312, 7
56.28, 1.635, 5
49.16, 1.853, 5

Record 7
Starting from a cell relaxed with GGA-PBE, the powder diffractogram of Rb2ZrAg2Te4 was simulated for Cu Kα (λ = 1.5418 Å).
No peak broadening, texture or thermal motion is included.

Structural model:
Unit cell a=8.1774 b=8.1774 c=6.5421 alpha=90.00 beta=90.00 gamma=132.74
Fractional positions:
Rb 0.0000 0.5000 0.2430
Rb 0.5000 0.0000 0.7570
Zr 0.0000 0.0000 0.5000
Ag 0.0000 0.0000 0.0000
Ag 0.5000 0.5000 0.5000
Te 0.1329 0.3522 0.7425
Te 0.3522 0.1329 0.2575
Te 0.6478 0.8671 0.2575
Te 0.8671 0.6478 0.7425

Main lines, most intense first (5 to 70 degrees two-theta):
2theta, d (Å), I_rel
26.24, 3.396, 100
38.90, 2.315, 43
36.45, 2.465, 39
47.53, 1.913, 38
45.69, 1.986, 33
29.78, 3.000, 30
11.81, 7.492, 24
20.07, 4.424, 18
63.93, 1.456, 14
27.23, 3.274, 14
35.69, 2.516, 14
68.84, 1.364, 11

Record 8
Starting from a cell relaxed with GGA-PBE, the powder diffractogram of RbYAg was simulated for Cu Kα (λ = 1.5418 Å).
No peak broadening, texture or thermal motion is included.

Structural model:
Unit cell a=5.3220 b=5.3220 c=5.3220 alpha=60.00 beta=60.00 gamma=60.00
Fractional positions:
Rb 0.0000 0.0000 0.0000
Y 0.7500 0.7500 0.7500
Ag 0.5000 0.5000 0.5000

Main lines, most intense first (5 to 70 degrees two-theta):
2theta, d (Å), I_rel
33.68, 2.661, 100
60.24, 1.536, 35
20.44, 4.345, 26
48.37, 1.882, 17
23.64, 3.763, 17
39.72, 2.269, 13
54.53, 1.683, 7
53.04, 1.727, 6
41.56, 2.173, 5
64.31, 1.448, 4